Starting from a structure optimized by DFT (PBE), the X-ray diffraction stick pattern of LaPmTlAu was simulated for Cu Kα X-rays.

Principal peaks in the range 10 to 90 degrees two-theta, most intense first:
2theta, Rel. int.
32.66, 100
33.78, 48
59.72, 36
48.53, 18
57.55, 17
68.43, 10
45.14, 9
81.04, 8

Structural model:
a b c (Å): 3.7521 3.7521 8.0343
angles (deg): 90.00 90.00 90.00
Element x y z (fractional)
La1 0.0000 0.0000 0.0000
Pm1 0.0000 0.0000 0.5429
Tl1 0.5000 0.5000 0.2778
Au1 0.5000 0.5000 0.7523


Starting from a structure optimized by DFT (PBE), the X-ray diffraction stick pattern of Li4HPd2 was simulated for Cu Kα X-rays.

Principal peaks in the range 10 to 90 degrees two-theta, most intense first:
2theta, Rel. int.
32.04, 100
13.18, 76
35.51, 43
25.79, 32
42.07, 31
38.04, 31
61.60, 29
66.95, 23

Structural model:
a b c (Å): 7.1759 7.1759 7.1759
angles (deg): 151.15 151.15 41.25
Element x y z (fractional)
Li1 0.0000 0.5000 0.5000
Li2 0.1406 0.1406 0.0000
Li3 0.5000 0.0000 0.5000
Li4 0.8594 0.8594 0.0000
H1 0.0000 0.0000 0.0000
Pd1 0.3222 0.3222 0.0000
Pd2 0.6778 0.6778 0.0000


Starting from a structure optimized by DFT (PBE), the X-ray diffraction stick pattern of CaY6Er5 was simulated for Cu Kα X-rays.

Principal peaks in the range 10 to 90 degrees two-theta, most intense first:
2theta, Rel. int.
30.70, 100
35.55, 34
60.85, 27
51.19, 23
35.67, 18
61.02, 14
63.93, 12
51.27, 12

Structural model:
a b c (Å): 7.9908 7.9908 10.0670
angles (deg): 90.00 90.00 143.19
Element x y z (fractional)
Ca1 0.0000 0.0000 0.0000
Y1 0.1697 0.8303 0.2539
Y2 0.1697 0.8303 0.7461
Y3 0.5000 0.5000 0.2592
Y4 0.5000 0.5000 0.7408
Y5 0.8303 0.1697 0.2539
Y6 0.8303 0.1697 0.7461
Er1 0.0000 0.0000 0.5000
Er2 0.3274 0.6726 0.0000
Er3 0.3331 0.6669 0.5000
Er4 0.6669 0.3331 0.5000
Er5 0.6726 0.3274 0.0000


Starting from a structure optimized by DFT (PBE), the X-ray diffraction stick pattern of KLiPuBr6 was simulated for Cu Kα X-rays.

Principal peaks in the range 10 to 90 degrees two-theta, most intense first:
2theta, Rel. int.
27.69, 100
15.49, 83
35.00, 81
12.07, 55
18.72, 42
43.73, 40
44.88, 33
23.15, 32

Structural model:
a b c (Å): 7.1714 7.1714 14.6657
angles (deg): 90.00 90.00 120.00
Element x y z (fractional)
K1 0.0000 0.0000 0.0000
K2 0.0000 0.0000 0.5000
Li1 0.3333 0.6667 0.2500
Li2 0.6667 0.3333 0.7500
Pu1 0.3333 0.6667 0.7500
Pu2 0.6667 0.3333 0.2500
Br1 0.0016 0.3667 0.6417
Br2 0.0016 0.6348 0.8583
Br3 0.3652 0.3667 0.8583
Br4 0.3652 0.9984 0.6417
Br5 0.3667 0.0016 0.1417
Br6 0.3667 0.3652 0.3583
Br7 0.6333 0.6348 0.6417
Br8 0.6333 0.9984 0.8583
Br9 0.6348 0.0016 0.3583
Br10 0.6348 0.6333 0.1417
Br11 0.9984 0.3652 0.1417
Br12 0.9984 0.6333 0.3583


Starting from a structure optimized by DFT (PBE), the X-ray diffraction stick pattern of BaPrCu2O5 was simulated for Cu Kα X-rays.

Principal peaks in the range 10 to 90 degrees two-theta, most intense first:
2theta, Rel. int.
32.23, 100
57.47, 38
46.19, 17
67.43, 15
39.75, 11
46.26, 10
22.64, 10
76.77, 9

Structural model:
a b c (Å): 3.9247 7.8661 11.7797
angles (deg): 90.00 90.00 90.00
Element x y z (fractional)
Ba1 0.0000 0.0000 0.0000
Ba2 0.0000 0.0000 0.3642
Ba3 0.0000 0.5000 0.0076
Pr1 0.0000 0.0000 0.6793
Pr2 0.0000 0.5000 0.3281
Pr3 0.0000 0.5000 0.6777
Cu1 0.5000 0.2506 0.8348
Cu2 0.5000 0.2525 0.1817
Cu3 0.5000 0.2532 0.5242
Cu4 0.5000 0.7475 0.1817
Cu5 0.5000 0.7468 0.5242
Cu6 0.5000 0.7494 0.8348
O1 0.0000 0.2449 0.1930
O2 0.0000 0.2497 0.8091
O3 0.0000 0.2509 0.5477
O4 0.0000 0.7491 0.5477
O5 0.0000 0.7503 0.8091
O6 0.0000 0.7551 0.1930
O7 0.5000 0.0000 0.5448
O8 0.5000 0.0000 0.8084
O9 0.5000 0.2368 0.0216
O10 0.5000 0.2671 0.3452
O11 0.5000 0.5000 0.1903
O12 0.5000 0.5000 0.5473
O13 0.5000 0.5000 0.8110
O14 0.5000 0.7329 0.3452
O15 0.5000 0.7632 0.0216


Starting from a structure optimized by DFT (PBE), the X-ray diffraction stick pattern of Tb3DyTmSc was simulated for Cu Kα X-rays.

Principal peaks in the range 10 to 90 degrees two-theta, most intense first:
2theta, Rel. int.
31.34, 100
52.35, 18
36.20, 17
36.34, 17
36.49, 17
62.38, 14
52.23, 12
62.11, 7

Structural model:
a b c (Å): 7.8216 4.9631 9.8493
angles (deg): 90.00 108.51 90.00
Element x y z (fractional)
Tb1 0.1641 0.2500 0.0402
Tb2 0.1647 0.2500 0.5422
Tb3 0.1649 0.7500 0.2911
Tb4 0.8351 0.2500 0.7089
Tb5 0.8353 0.7500 0.4578
Tb6 0.8359 0.7500 0.9598
Dy1 0.4992 0.2500 0.8764
Dy2 0.5008 0.7500 0.1236
Tm1 0.4959 0.7500 0.6255
Tm2 0.5041 0.2500 0.3745
Sc1 0.1674 0.7500 0.7921
Sc2 0.8326 0.2500 0.2079


Starting from a structure optimized by DFT (PBE), the X-ray diffraction stick pattern of Zr2Al5Pt3 was simulated for Cu Kα X-rays.

Principal peaks in the range 10 to 90 degrees two-theta, most intense first:
2theta, Rel. int.
36.15, 100
27.36, 72
25.58, 63
43.01, 48
35.99, 44
25.32, 43
48.30, 40
47.70, 39

Structural model:
a b c (Å): 12.4450 12.4450 6.6478
angles (deg): 90.00 90.00 160.54
Element x y z (fractional)
Zr1 0.0200 0.9800 0.5000
Zr2 0.3272 0.6728 0.4799
Zr3 0.6728 0.3272 0.9799
Zr4 0.9800 0.0200 0.0000
Al1 0.1007 0.8993 0.1429
Al2 0.2070 0.7930 0.6721
Al3 0.2108 0.7892 0.2569
Al4 0.3774 0.6226 0.0025
Al5 0.4480 0.5520 0.3372
Al6 0.5520 0.4480 0.8372
Al7 0.6226 0.3774 0.5025
Al8 0.7892 0.2108 0.7569
Al9 0.7930 0.2070 0.1721
Al10 0.8993 0.1007 0.6429
Pt1 0.1068 0.8932 0.7561
Pt2 0.2749 0.7251 0.9602
Pt3 0.4508 0.5492 0.7256
Pt4 0.5492 0.4508 0.2256
Pt5 0.7251 0.2749 0.4602
Pt6 0.8932 0.1068 0.2561


Starting from a structure optimized by DFT (PBE), the X-ray diffraction stick pattern of Dy4Te2AsAu was simulated for Cu Kα X-rays.

Principal peaks in the range 10 to 90 degrees two-theta, most intense first:
2theta, Rel. int.
29.66, 100
29.52, 51
42.27, 39
42.40, 35
53.32, 20
41.51, 18
43.35, 18
69.64, 16

Structural model:
a b c (Å): 7.4386 4.1746 7.4693
angles (deg): 90.00 108.58 90.00
Element x y z (fractional)
Dy1 0.2232 0.0000 0.2361
Dy2 0.2233 0.5000 0.7433
Dy3 0.7768 0.0000 0.7639
Dy4 0.7767 0.5000 0.2567
Te1 0.5000 0.0000 0.0000
Te2 0.5000 0.5000 0.5000
As1 0.0000 0.5000 0.0000
Au1 0.0000 0.0000 0.5000


Starting from a structure optimized by DFT (PBE), the X-ray diffraction stick pattern of K4Ce3PuTe8 was simulated for Cu Kα X-rays.

Principal peaks in the range 10 to 90 degrees two-theta, most intense first:
2theta, Rel. int.
30.89, 100
10.40, 52
32.02, 51
56.37, 36
39.11, 23
45.92, 19
54.21, 14
33.76, 14

Structural model:
a b c (Å): 7.9054 7.9054 8.5033
angles (deg): 90.00 90.00 90.00
Element x y z (fractional)
K1 0.0000 0.0000 0.0000
K2 0.0000 0.5000 0.0000
K3 0.5000 0.0000 0.0000
K4 0.5000 0.5000 0.0000
Ce1 0.0000 0.0000 0.5000
Ce2 0.0000 0.5000 0.5000
Ce3 0.5000 0.0000 0.5000
Pu1 0.5000 0.5000 0.5000
Te1 0.2506 0.2506 0.2866
Te2 0.2506 0.2506 0.7134
Te3 0.2506 0.7494 0.2866
Te4 0.2506 0.7494 0.7134
Te5 0.7494 0.2506 0.2866
Te6 0.7494 0.2506 0.7134
Te7 0.7494 0.7494 0.2866
Te8 0.7494 0.7494 0.7134


Starting from a structure optimized by DFT (PBE), the X-ray diffraction stick pattern of CePrIrPd was simulated for Cu Kα X-rays.

Principal peaks in the range 10 to 90 degrees two-theta, most intense first:
2theta, Rel. int.
32.38, 100
39.18, 69
30.56, 38
43.61, 22
46.45, 20
37.61, 20
77.12, 18
54.19, 15

Structural model:
a b c (Å): 4.1504 6.1693 6.1693
angles (deg): 36.95 90.00 90.00
Element x y z (fractional)
Ce1 0.0000 0.0000 0.0000
Pr1 0.5000 0.7250 0.7250
Ir1 0.5000 0.4691 0.4691
Pd1 0.0000 0.2902 0.2902


Starting from a structure optimized by DFT (PBE), the X-ray diffraction stick pattern of CaCe2Cl7 was simulated for Cu Kα X-rays.

Principal peaks in the range 10 to 90 degrees two-theta, most intense first:
2theta, Rel. int.
36.35, 100
37.44, 86
21.21, 61
20.86, 57
13.08, 50
23.49, 35
19.67, 32
66.12, 29

Structural model:
a b c (Å): 13.8383 13.8383 13.8383
angles (deg): 20.58 20.58 20.58
Element x y z (fractional)
Ca1 0.0000 0.0000 0.0000
Ce1 0.4313 0.4313 0.4313
Ce2 0.5687 0.5687 0.5687
Cl1 0.0696 0.0696 0.0696
Cl2 0.2198 0.2198 0.2198
Cl3 0.3558 0.3558 0.3558
Cl4 0.5000 0.5000 0.5000
Cl5 0.6442 0.6442 0.6442
Cl6 0.7802 0.7802 0.7802
Cl7 0.9304 0.9304 0.9304


Starting from a structure optimized by DFT (PBE), the X-ray diffraction stick pattern of Y4ScSi10 was simulated for Cu Kα X-rays.

Principal peaks in the range 10 to 90 degrees two-theta, most intense first:
2theta, Rel. int.
34.25, 100
44.42, 38
25.21, 26
57.26, 22
66.32, 20
75.22, 19
46.57, 10
78.38, 6

Structural model:
a b c (Å): 4.0789 4.0789 19.5011
angles (deg): 90.00 90.00 120.00
Element x y z (fractional)
Y1 0.0000 0.0000 0.1017
Y2 0.0000 0.0000 0.3078
Y3 0.0000 0.0000 0.6922
Y4 0.0000 0.0000 0.8983
Sc1 0.0000 0.0000 0.5000
Si1 0.3333 0.6667 0.0000
Si2 0.3333 0.6667 0.2048
Si3 0.3333 0.6667 0.4093
Si4 0.3333 0.6667 0.5907
Si5 0.3333 0.6667 0.7952
Si6 0.6667 0.3333 0.0000
Si7 0.6667 0.3333 0.2048
Si8 0.6667 0.3333 0.4093
Si9 0.6667 0.3333 0.5907
Si10 0.6667 0.3333 0.7952


Starting from a structure optimized by DFT (PBE), the X-ray diffraction stick pattern of AcB2Pt2N was simulated for Cu Kα X-rays.

Principal peaks in the range 10 to 90 degrees two-theta, most intense first:
2theta, Rel. int.
36.31, 100
33.31, 30
24.05, 28
46.07, 27
58.03, 25
61.49, 22
78.85, 22
33.79, 15

Structural model:
a b c (Å): 6.0588 6.0588 6.0588
angles (deg): 142.05 142.05 54.76
Element x y z (fractional)
Ac1 0.0000 0.0000 0.0000
B1 0.3658 0.3658 0.0000
B2 0.6342 0.6342 0.0000
Pt1 0.2500 0.7500 0.5000
Pt2 0.7500 0.2500 0.5000
N1 0.5000 0.5000 0.0000